This entry pairs a crystal structure of Rb3LiTbV2O8 with its simulated X-ray powder pattern. Radiation: a wavelength of 1.5418 Å. Structure: a cell relaxed with GGA+U.

Cell and atoms:
```
15
Lattice="5.1933 -3.0981 0.0000 5.1933 3.0981 0.0000 -0.6112 0.0000 8.5764" Properties=species:S:1:pos:R:3 pbc="T T T"
Rb 0.0000 0.0000 0.0000
Rb 3.0254 0.0000 6.5439
Rb 6.7501 0.0000 2.0324
Li 4.8877 0.0000 4.2882
Tb -0.3056 0.0000 4.2882
V 3.0784 0.0000 2.3337
V 6.6971 0.0000 6.2426
O 1.3220 0.0000 2.6118
O 3.8969 1.3796 3.1912
O 3.4932 0.0000 0.6692
O 5.8786 1.3796 5.3852
O 3.8969 -1.3796 3.1912
O 6.2823 0.0000 7.9072
O 5.8786 -1.3796 5.3852
O 8.4535 0.0000 5.9646
```

Peak list (6 most intense, 2θ from 5° to 70°, sorted by position)
2θ 26.0, 3.425 Å, I = 56.5; 2θ 26.2, 3.399 Å, I = 42.7; 2θ 27.2, 3.280 Å, I = 71.3; 2θ 28.8, 3.098 Å, I = 57.1; 2θ 29.6, 3.017 Å, I = 100.0; 2θ 40.6, 2.224 Å, I = 33.1